Entry 1:
Diffraction record for KNaNbOF5. The powder diffractogram is calculated, not measured: it uses DFT lattice parameters and positions (GGA-PBE) and CuKα.
Neutral-atom scattering factors, no anomalous dispersion.

Cell and atoms:
Cell: 11.374 5.742 7.899 Å, 90.00 90.00 90.00°
Space group Pna2_1 (No. 33)
Asymmetric unit:
K: 0.031 0.038 0.000 (multiplicity 4)
Na: 0.133 0.559 0.252 (multiplicity 4)
Nb: 0.162 0.547 0.750 (multiplicity 4)
O: 0.200 0.920 0.209 (multiplicity 4)
F: 0.004 0.286 0.289 (multiplicity 4)
F: 0.057 0.276 0.701 (multiplicity 4)
F: 0.136 0.665 0.519 (multiplicity 4)
F: 0.147 0.446 0.988 (multiplicity 4)
F: 0.215 0.854 0.829 (multiplicity 4)

Most intense lines, 2θ from 15° to 90°, in order of falling intensity:
- (3 1 0), 2θ = 28.21°, intensity 100.0
- (1 1 1), 2θ = 20.66°, intensity 99.3
- (2 0 1), 2θ = 19.23°, intensity 74.1
- (1 1 2), 2θ = 28.53°, intensity 69.1
- (0 0 2), 2θ = 22.51°, intensity 42.9
- (3 1 4), 2θ = 54.80°, intensity 35.0
- (2 2 2), 2θ = 42.03°, intensity 30.1
- (1 1 0), 2θ = 17.30°, intensity 28.7
- (2 3 2), 2θ = 55.76°, intensity 28.4
- (0 0 4), 2θ = 45.96°, intensity 27.0



Entry 2:
Diffraction record for ScZn2Ag5. The powder diffractogram is calculated, not measured: it uses DFT lattice parameters and positions (GGA-PBE) and CuKα.
Neutral-atom scattering factors, no anomalous dispersion.

Cell and atoms:
Cell: 4.772 5.873 10.168 Å, 90.00 90.00 90.00°
Space group Amm2 (No. 38)
Asymmetric unit:
Sc: 0.000 0.000 0.000 (multiplicity 2)
Zn: 0.000 0.000 0.498 (multiplicity 2)
Zn: 0.500 0.000 0.827 (multiplicity 2)
Ag: 0.000 0.243 0.750 (multiplicity 4)
Ag: 0.500 0.000 0.332 (multiplicity 2)
Ag: 0.500 0.248 0.580 (multiplicity 4)

Most intense lines, 2θ from 15° to 90°, in order of falling intensity:
- (1 2 2), 2θ = 40.19°, intensity 100.0
- (2 0 0), 2θ = 37.70°, intensity 26.7
- (0 0 4), 2θ = 35.30°, intensity 24.7
- (2 4 0), 2θ = 76.13°, intensity 18.4
- (3 2 2), 2θ = 69.73°, intensity 18.0
- (0 4 0), 2θ = 63.36°, intensity 16.0
- (2 0 4), 2θ = 52.60°, intensity 15.0
- (1 0 8), 2θ = 77.74°, intensity 13.0
- (1 0 2), 2θ = 25.60°, intensity 5.8
- (0 0 2), 2θ = 17.44°, intensity 4.7



Entry 3:
Diffraction record for TlCuSnSe2S. The powder diffractogram is calculated, not measured: it uses DFT lattice parameters and positions (GGA-PBE) and CuKα.
Neutral-atom scattering factors, no anomalous dispersion.

Cell and atoms:
Cell: 3.952 13.477 10.783 Å, 90.00 90.00 90.00°
Space group Cmcm (No. 63)
Asymmetric unit:
Tl: 0.000 0.223 0.250 (multiplicity 4)
Cu: 0.000 0.055 0.750 (multiplicity 4)
Sn: 0.000 0.500 0.000 (multiplicity 4)
Se: 0.000 0.139 0.547 (multiplicity 8)
S: 0.000 0.461 0.750 (multiplicity 4)

Most intense lines, 2θ from 15° to 90°, in order of falling intensity:
- (1 3 1), 2θ = 31.27°, intensity 100.0
- (1 3 0), 2θ = 30.12°, intensity 68.5
- (0 2 2), 2θ = 21.10°, intensity 54.1
- (1 1 3), 2θ = 34.38°, intensity 53.9
- (0 0 4), 2θ = 33.23°, intensity 52.0
- (1 5 2), 2θ = 44.00°, intensity 37.7
- (2 0 0), 2θ = 45.93°, intensity 30.3
- (1 1 1), 2θ = 24.89°, intensity 29.9
- (1 3 5), 2θ = 52.45°, intensity 26.9
- (1 3 4), 2θ = 45.46°, intensity 25.3



Entry 4:
Diffraction record for GdTeAuO. The powder diffractogram is calculated, not measured: it uses DFT lattice parameters and positions (GGA-PBE) and CuKα.
Neutral-atom scattering factors, no anomalous dispersion.

Cell and atoms:
Cell: 10.347 5.739 5.767 Å, 90.00 90.00 90.00°
Space group Aem2 (No. 39)
Asymmetric unit:
Gd: 0.105 0.250 0.000 (multiplicity 4)
Te: 0.279 0.250 0.501 (multiplicity 4)
Au: 0.500 0.000 0.001 (multiplicity 4)
O: 0.000 0.000 0.250 (multiplicity 4)

Most intense lines, 2θ from 15° to 90°, in order of falling intensity:
- (0 0 2), 2θ = 31.01°, intensity 100.0
- (2 1 1), 2θ = 27.90°, intensity 94.0
- (3 1 1), 2θ = 34.08°, intensity 90.6
- (1 2 0), 2θ = 32.37°, intensity 66.7
- (1 2 2), 2θ = 45.44°, intensity 65.7
- (2 2 0), 2θ = 35.78°, intensity 55.6
- (5 0 2), 2θ = 54.59°, intensity 42.3
- (2 2 2), 2θ = 48.06°, intensity 38.7
- (2 0 0), 2θ = 17.14°, intensity 35.9
- (5 0 0), 2θ = 43.74°, intensity 34.9



Please write out number 1 again, unchanged.
Diffraction record for KNaNbOF5. The powder diffractogram is calculated, not measured: it uses DFT lattice parameters and positions (GGA-PBE) and CuKα.
Neutral-atom scattering factors, no anomalous dispersion.

Cell and atoms:
Cell: 11.374 5.742 7.899 Å, 90.00 90.00 90.00°
Space group Pna2_1 (No. 33)
Asymmetric unit:
K: 0.031 0.038 0.000 (multiplicity 4)
Na: 0.133 0.559 0.252 (multiplicity 4)
Nb: 0.162 0.547 0.750 (multiplicity 4)
O: 0.200 0.920 0.209 (multiplicity 4)
F: 0.004 0.286 0.289 (multiplicity 4)
F: 0.057 0.276 0.701 (multiplicity 4)
F: 0.136 0.665 0.519 (multiplicity 4)
F: 0.147 0.446 0.988 (multiplicity 4)
F: 0.215 0.854 0.829 (multiplicity 4)

Most intense lines, 2θ from 15° to 90°, in order of falling intensity:
- (3 1 0), 2θ = 28.21°, intensity 100.0
- (1 1 1), 2θ = 20.66°, intensity 99.3
- (2 0 1), 2θ = 19.23°, intensity 74.1
- (1 1 2), 2θ = 28.53°, intensity 69.1
- (0 0 2), 2θ = 22.51°, intensity 42.9
- (3 1 4), 2θ = 54.80°, intensity 35.0
- (2 2 2), 2θ = 42.03°, intensity 30.1
- (1 1 0), 2θ = 17.30°, intensity 28.7
- (2 3 2), 2θ = 55.76°, intensity 28.4
- (0 0 4), 2θ = 45.96°, intensity 27.0